K2VSe2O6: theoretical X-ray diffraction stick pattern (Cu Kα), based on a DFT-relaxed cell (GGA+U, Alexandria).

Structural model:
Unit cell a=5.548 b=5.548 c=6.514 alpha=107.22 beta=107.22 gamma=72.35
Positions (direct):
1 K 0.197 0.197 0.102
2 K 0.803 0.803 0.898
3 V 0.000 0.000 0.500
4 Se 0.425 0.425 0.680
5 Se 0.575 0.575 0.320
6 O 0.150 0.756 0.673
7 O 0.239 0.239 0.718
8 O 0.244 0.850 0.327
9 O 0.756 0.150 0.673
10 O 0.761 0.761 0.282
11 O 0.850 0.244 0.327

Principal peaks in the range 10 to 90 degrees two-theta, low angle first:
2θ 14.62, intensity 35; 2θ 21.33, intensity 18; 2θ 27.23, intensity 68; 2θ 29.44, intensity 16; 2θ 30.16, intensity 80; 2θ 30.66, intensity 100; 2θ 33.11, intensity 54; 2θ 41.08, intensity 32; 2θ 50.32, intensity 33; 2θ 51.98, intensity 18; 2θ 52.26, intensity 23; 2θ 67.03, intensity 15